Starting from a cell relaxed with GGA-PBE, the PXRD pattern of La4Hg3Pb was computed for copper Kα.
Neutral-atom scattering factors, no anomalous dispersion.

Cell: 8.9379 8.9379 8.9379 Å, 144.08 144.08 51.70°
Atoms (fractional coordinates):
La: 0.1269 0.6269 0.5000
La: 0.3731 0.8731 0.5000
La: 0.6269 0.1269 0.5000
La: 0.8731 0.3731 0.5000
Hg: 0.0000 0.0000 0.0000
Hg: 0.2469 0.2469 0.0000
Hg: 0.7531 0.7531 0.0000
Pb: 0.5000 0.5000 0.0000

Largest 8 diffraction maxima, by intensity, 15 to 90 degrees two-theta:
- 31.98 deg, intensity 100
- 32.49 deg, intensity 48
- 57.64 deg, intensity 38
- 56.67 deg, intensity 20
- 46.61 deg, intensity 18
- 66.86 deg, intensity 12
- 45.09 deg, intensity 10
- 74.91 deg, intensity 9